# 1
The following is a calculated X-ray diffraction stick pattern of MgScAgO3. It was derived from a crystal structure in OQMD, relaxed with GGA-PBE, using a wavelength of 1.5418 Å.
Kinematic intensities with the Lorentz-polarization factor, no thermal factor.

Structural model:
Cell lengths 2.862, 5.624, 9.252 Å; angles 89.92, 89.70, 80.13 degrees
Sites, in units of the cell vectors:
1 Mg 0.000 0.000 0.000
2 Mg 0.176 0.671 0.500
3 Sc 0.195 0.524 0.184
4 Sc 0.979 0.146 0.684
5 Ag 0.527 0.591 0.844
6 Ag 0.650 0.081 0.345
7 O 0.385 0.417 0.643
8 O 0.480 0.074 0.849
9 O 0.584 0.929 0.564
10 O 0.597 0.741 0.064
11 O 0.694 0.596 0.348
12 O 0.786 0.253 0.143

Most intense lines, 2θ from 15° to 90°, in order of falling intensity:
- 2θ 33.2, rel. 100
- 2θ 18.7, rel. 82
- 2θ 32.3, rel. 61
- 2θ 34.5, rel. 59
- 2θ 37.9, rel. 48
- 2θ 19.2, rel. 45
- 2θ 39.5, rel. 41
- 2θ 50.9, rel. 26
- 2θ 37.3, rel. 24
- 2θ 37.4, rel. 24


# 2
The following is a calculated X-ray diffraction stick pattern of Mg3Si2Ag4O9. It was derived from a crystal structure in OQMD, relaxed with GGA-PBE, using a wavelength of 1.5418 Å.
Kinematic intensities with the Lorentz-polarization factor, no thermal factor.

Structural model:
Cell lengths 5.450, 5.468, 9.215 Å; angles 91.14, 90.34, 119.28 degrees
Sites, in units of the cell vectors:
1 Mg 0.000 0.000 0.000
2 Mg 0.315 0.641 0.009
3 Mg 0.638 0.315 0.999
4 Si 0.657 0.999 0.270
5 Si 0.987 0.663 0.270
6 Ag 0.305 0.321 0.764
7 Ag 0.308 0.829 0.738
8 Ag 0.799 0.813 0.727
9 Ag 0.814 0.321 0.714
10 O 0.210 0.468 0.538
11 O 0.320 0.320 0.080
12 O 0.324 0.823 0.308
13 O 0.329 0.342 0.450
14 O 0.426 0.197 0.536
15 O 0.658 0.988 0.087
16 O 0.816 0.333 0.313
17 O 0.831 0.840 0.326
18 O 0.976 0.656 0.088

Most intense lines, 2θ from 15° to 90°, in order of falling intensity:
- 2θ 19.3, rel. 100
- 2θ 29.1, rel. 49
- 2θ 39.3, rel. 42
- 2θ 37.9, rel. 30
- 2θ 43.2, rel. 29
- 2θ 37.7, rel. 27
- 2θ 39.1, rel. 27
- 2θ 38.2, rel. 24
- 2θ 48.9, rel. 24
- 2θ 38.8, rel. 20


# 3
The following is a calculated X-ray diffraction stick pattern of SmMgAgO3. It was derived from a crystal structure in OQMD, relaxed with GGA-PBE, using a wavelength of 1.5418 Å.
Kinematic intensities with the Lorentz-polarization factor, no thermal factor.

Structural model:
Cell lengths 8.515, 8.515, 7.509 Å; angles 90.00, 90.00, 157.81 degrees
Sites, in units of the cell vectors:
1 Sm 0.000 0.000 0.000
2 Sm 0.000 0.000 0.500
3 Mg 0.226 0.774 0.750
4 Mg 0.774 0.226 0.250
5 Ag 0.393 0.607 0.750
6 Ag 0.607 0.393 0.250
7 O 0.116 0.884 0.650
8 O 0.116 0.884 0.850
9 O 0.212 0.788 0.250
10 O 0.788 0.212 0.750
11 O 0.884 0.116 0.150
12 O 0.884 0.116 0.350

Most intense lines, 2θ from 15° to 90°, in order of falling intensity:
- 2θ 36.8, rel. 100
- 2θ 32.1, rel. 80
- 2θ 26.0, rel. 68
- 2θ 38.5, rel. 62
- 2θ 15.9, rel. 53
- 2θ 40.3, rel. 46
- 2θ 63.5, rel. 37
- 2θ 31.7, rel. 37
- 2θ 30.2, rel. 33
- 2θ 33.9, rel. 32


# 4
The following is a calculated X-ray diffraction stick pattern of MgAgTeO. It was derived from a crystal structure in OQMD, relaxed with GGA-PBE, using a wavelength of 1.5418 Å.
Kinematic intensities with the Lorentz-polarization factor, no thermal factor.

Structural model:
Cell lengths 6.026, 15.718, 6.567 Å; angles 90.00, 90.00, 90.00 degrees
Sites, in units of the cell vectors:
1 Mg 0.034 0.246 0.116
2 Mg 0.034 0.254 0.616
3 Mg 0.466 0.746 0.116
4 Mg 0.466 0.754 0.616
5 Mg 0.534 0.246 0.384
6 Mg 0.534 0.254 0.884
7 Mg 0.966 0.746 0.384
8 Mg 0.966 0.754 0.884
9 Ag 0.220 0.085 0.852
10 Ag 0.220 0.415 0.352
11 Ag 0.280 0.585 0.852
12 Ag 0.280 0.915 0.352
13 Ag 0.720 0.085 0.648
14 Ag 0.720 0.415 0.148
15 Ag 0.780 0.585 0.648
16 Ag 0.780 0.915 0.148
17 Te 0.012 0.566 0.237
18 Te 0.012 0.934 0.737
19 Te 0.488 0.066 0.237
20 Te 0.488 0.434 0.737
21 Te 0.512 0.566 0.263
22 Te 0.512 0.934 0.763
23 Te 0.988 0.066 0.263
24 Te 0.988 0.434 0.763
25 O 0.210 0.232 0.864
26 O 0.210 0.268 0.364
27 O 0.290 0.732 0.864
28 O 0.290 0.768 0.364
29 O 0.710 0.232 0.636
30 O 0.710 0.268 0.136
31 O 0.790 0.732 0.636
32 O 0.790 0.768 0.136

Most intense lines, 2θ from 15° to 90°, in order of falling intensity:
- 2θ 34.7, rel. 100
- 2θ 40.1, rel. 83
- 2θ 34.2, rel. 58
- 2θ 27.2, rel. 41
- 2θ 23.0, rel. 39
- 2θ 31.0, rel. 33
- 2θ 29.5, rel. 27
- 2θ 46.9, rel. 18
- 2θ 47.5, rel. 17
- 2θ 42.9, rel. 15